This entry pairs a crystal structure of Sr2MgTi6N2O11 with its simulated XRD peak list. Radiation: λ = 1.5418 Å (Cu Kα). Structure: a structure optimized by DFT (PBE).

Principal peaks in the range 10 to 90 degrees two-theta, in order of rising 2θ:
| (hkl) | 2theta | Rel. int. |
| --- | --- | --- |
| 0 0 2 | 18.94 | 23.7 |
| 3 1 0 | 28.90 | 51.8 |
| 3 1 -1 | 29.91 | 100.0 |
| 1 1 2 | 30.70 | 24.4 |
| 4 0 2 | 31.91 | 26.9 |
| 6 0 2 | 42.44 | 29.0 |
| 4 0 -4 | 43.44 | 36.9 |
| 0 2 0 | 46.35 | 41.7 |

Structural model:
```
data_Sr2MgTi6N2O11
_chemical_formula_sum 'Sr4 Mg2 Ti12 N4 O22'
_cell_length_a 15.1441
_cell_length_b 3.9178
_cell_length_c 9.4159
_cell_angle_alpha 90.00
_cell_angle_beta 95.63
_cell_angle_gamma 90.00
_symmetry_space_group_name_H-M 'C 1 m 1'
_symmetry_Int_Tables_number 8
loop_
_symmetry_equiv_pos_as_xyz
'x,y,z'
'x,-y,z'
'x+1/2,y+1/2,z'
'x+1/2,-y+1/2,z'
loop_
_atom_site_label
_atom_site_fract_x
_atom_site_fract_y
_atom_site_fract_z
Sr1 0.0000 0.0000 0.0000
Sr2 0.0850 0.0000 0.5035
Mg1 0.3156 0.5000 0.7698
Ti1 0.1382 0.5000 0.8161
Ti2 0.2019 0.5000 0.1609
Ti3 0.2626 0.5000 0.4784
Ti4 0.2868 0.0000 0.9891
Ti5 0.3619 0.0000 0.3074
Ti6 0.4066 0.0000 0.6156
N1 0.1954 0.5000 0.6468
N2 0.2964 0.0000 0.4830
O1 0.0239 0.5000 0.7418
O2 0.0966 0.5000 0.0510
O3 0.1553 0.0000 0.8685
O4 0.1588 0.5000 0.3521
O5 0.2284 0.0000 0.1772
O6 0.2700 0.5000 0.9657
O7 0.3372 0.5000 0.2886
O8 0.3489 0.0000 0.8046
O9 0.3975 0.0000 0.1002
O10 0.4016 0.5000 0.6199
O11 0.4672 0.0000 0.4326
```